Entry 1:
HgP2: simulated PXRD pattern (Cu Kα), based on DFT lattice parameters and positions (GGA-PBE).

Crystal structure
```
data_HgP2
_chemical_formula_sum 'Hg1 P2'
_symmetry_space_group_name_H-M 'P 1 2/m 1'
_symmetry_Int_Tables_number 10
_cell_length_a 3.2891
_cell_length_b 2.7191
_cell_length_c 7.6980
_cell_angle_alpha 90.00
_cell_angle_beta 102.19
_cell_angle_gamma 90.00
loop_
_symmetry_equiv_pos_as_xyz
'x,y,z'
'-x,-y,-z'
'-x,y,-z'
'x,-y,z'
loop_
_atom_site_label
_atom_site_fract_x
_atom_site_fract_y
_atom_site_fract_z
_atom_site_occupancy
Hg1 0.0000 0.0000 0.0000 1
P1 0.2993 0.0000 0.5996 1
```

Top 10 peaks for 10° ≤ 2θ ≤ 90°, by intensity:
(0 0 1), 2θ 11.76, I = 100
(1 0 1), 2θ 32.55, I = 60
(0 0 2), 2θ 23.65, I = 51
(1 0 0), 2θ 27.76, I = 47
(1 1 1), 2θ 46.99, I = 43
(0 1 0), 2θ 32.94, I = 32
(1 1 0), 2θ 43.61, I = 29
(0 1 2), 2θ 40.95, I = 25
(0 1 1), 2θ 35.09, I = 18
(0 0 3), 2θ 35.80, I = 18

Entry 2:
PmPu4Te5: simulated PXRD pattern (Cu Kα), based on DFT lattice parameters and positions (GGA-PBE).

Crystal structure
```
data_PmPu4Te5
_chemical_formula_sum 'Pm2 Pu8 Te10'
_symmetry_space_group_name_H-M 'I m m m'
_symmetry_Int_Tables_number 71
_symmetry_space_group_name_Hall '-I 2 2'
_cell_length_a 4.4402
_cell_length_b 6.2837
_cell_length_c 22.2192
_cell_angle_alpha 90.00
_cell_angle_beta 90.00
_cell_angle_gamma 90.00
loop_
_atom_site_label
_atom_site_fract_x
_atom_site_fract_y
_atom_site_fract_z
_atom_site_occupancy
Pm1 0.0000 0.0000 0.0000 1
Pu1 0.0000 0.0000 0.2006 1
Pu2 0.0000 0.0000 0.4008 1
Te1 0.0000 0.5000 0.0000 1
Te2 0.0000 0.5000 0.1993 1
Te3 0.0000 0.5000 0.3985 1
```

Top 10 peaks for 10° ≤ 2θ ≤ 90°, by intensity:
(1 0 5), 2θ 28.41, I = 100
(2 0 0), 2θ 40.62, I = 77
(3 0 5), 2θ 66.57, I = 36
(2 2 0), 2θ 50.31, I = 28
(3 2 5), 2θ 73.90, I = 27
(1 1 0), 2θ 24.54, I = 13
(0 4 0), 2θ 58.79, I = 13
(4 0 0), 2θ 87.92, I = 9
(2 1 5), 2θ 48.03, I = 8
(0 1 15), 2θ 64.67, I = 3

Entry 3:
Pr3Ga2Ge: simulated PXRD pattern (Cu Kα), based on DFT lattice parameters and positions (GGA-PBE).

Crystal structure
```
data_Pr3Ga2Ge
_chemical_formula_sum 'Pr12 Ga8 Ge4'
_symmetry_space_group_name_H-M 'P n m a'
_symmetry_Int_Tables_number 62
_cell_length_a 12.4129
_cell_length_b 4.2089
_cell_length_c 12.4873
_cell_angle_alpha 90.00
_cell_angle_beta 90.00
_cell_angle_gamma 90.00
loop_
_symmetry_equiv_pos_as_xyz
'x,y,z'
'-x,-y,-z'
'-x+1/2,-y,z+1/2'
'x+1/2,y,-z+1/2'
'x+1/2,-y+1/2,-z+1/2'
'-x+1/2,y+1/2,z+1/2'
'-x,y+1/2,-z'
'x,-y+1/2,z'
loop_
_atom_site_label
_atom_site_fract_x
_atom_site_fract_y
_atom_site_fract_z
_atom_site_occupancy
Pr1 0.0622 0.2500 0.1220 1
Pr2 0.1177 0.7500 0.5544 1
Pr3 0.2072 0.2500 0.7906 1
Ga1 0.0202 0.7500 0.3090 1
Ga2 0.1889 0.7500 0.9901 1
Ge1 0.1317 0.2500 0.3696 1
```

Top 10 peaks for 10° ≤ 2θ ≤ 90°, by intensity:
(0 1 3), 2θ 30.20, I = 100
(3 1 2), 2θ 33.59, I = 56
(2 1 2), 2θ 29.36, I = 54
(0 2 0), 2θ 42.97, I = 50
(3 1 1), 2θ 31.12, I = 48
(2 0 5), 2θ 38.85, I = 48
(4 1 1), 2θ 36.69, I = 35
(4 0 1), 2θ 29.66, I = 33
(3 0 2), 2θ 25.83, I = 31
(1 0 4), 2θ 29.50, I = 27

Entry 4:
SmInO3: simulated PXRD pattern (Cu Kα), based on DFT lattice parameters and positions (GGA-PBE).

Crystal structure
```
data_SmInO3
_chemical_formula_sum 'Sm4 In4 O12'
_symmetry_space_group_name_H-M 'P n m a'
_symmetry_Int_Tables_number 62
_cell_length_a 5.9413
_cell_length_b 8.2622
_cell_length_c 5.6276
_cell_angle_alpha 90.00
_cell_angle_beta 90.00
_cell_angle_gamma 90.00
loop_
_symmetry_equiv_pos_as_xyz
'x,y,z'
'-x,-y,-z'
'-x+1/2,-y,z+1/2'
'x+1/2,y,-z+1/2'
'x+1/2,-y+1/2,-z+1/2'
'-x+1/2,y+1/2,z+1/2'
'-x,y+1/2,-z'
'x,-y+1/2,z'
loop_
_atom_site_label
_atom_site_fract_x
_atom_site_fract_y
_atom_site_fract_z
_atom_site_occupancy
Sm1 0.0634 0.2500 0.0217 1
In1 0.0000 0.0000 0.5000 1
O1 0.0605 0.7500 0.3653 1
O2 0.1935 0.5704 0.8092 1
```

Top 10 peaks for 10° ≤ 2θ ≤ 90°, by intensity:
(1 2 1), 2θ 30.78, I = 100
(1 2 3), 2θ 56.02, I = 24
(0 0 2), 2θ 31.80, I = 22
(2 0 0), 2θ 30.08, I = 20
(2 0 2), 2θ 44.34, I = 17
(0 4 0), 2θ 43.83, I = 12
(0 4 2), 2θ 55.16, I = 11
(3 2 1), 2θ 53.86, I = 10
(1 1 1), 2θ 24.30, I = 10
(3 1 1), 2θ 50.06, I = 10

Repeat the second record exactly.
PmPu4Te5: simulated PXRD pattern (Cu Kα), based on DFT lattice parameters and positions (GGA-PBE).

Crystal structure
```
data_PmPu4Te5
_chemical_formula_sum 'Pm2 Pu8 Te10'
_symmetry_space_group_name_H-M 'I m m m'
_symmetry_Int_Tables_number 71
_symmetry_space_group_name_Hall '-I 2 2'
_cell_length_a 4.4402
_cell_length_b 6.2837
_cell_length_c 22.2192
_cell_angle_alpha 90.00
_cell_angle_beta 90.00
_cell_angle_gamma 90.00
loop_
_atom_site_label
_atom_site_fract_x
_atom_site_fract_y
_atom_site_fract_z
_atom_site_occupancy
Pm1 0.0000 0.0000 0.0000 1
Pu1 0.0000 0.0000 0.2006 1
Pu2 0.0000 0.0000 0.4008 1
Te1 0.0000 0.5000 0.0000 1
Te2 0.0000 0.5000 0.1993 1
Te3 0.0000 0.5000 0.3985 1
```

Top 10 peaks for 10° ≤ 2θ ≤ 90°, by intensity:
(1 0 5), 2θ 28.41, I = 100
(2 0 0), 2θ 40.62, I = 77
(3 0 5), 2θ 66.57, I = 36
(2 2 0), 2θ 50.31, I = 28
(3 2 5), 2θ 73.90, I = 27
(1 1 0), 2θ 24.54, I = 13
(0 4 0), 2θ 58.79, I = 13
(4 0 0), 2θ 87.92, I = 9
(2 1 5), 2θ 48.03, I = 8
(0 1 15), 2θ 64.67, I = 3

Q: Number 1 is which compound?
A: HgP2